[1]
Diffraction record for ReNiW2. The powder diffraction line list is computed, not measured: it uses the PBE geometry in Alexandria and a wavelength of 1.5418 Å.
Neutral-atom scattering factors, no anomalous dispersion.

Main lines, sorted by position (2θ from 15° to 90°):
2θ (°)  I_rel
27.8  6
32.0  16
39.8  63
42.4  100
57.5  22
63.9  6
65.4  6
74.0  39
79.3  14
85.7  7

Structural model:
```
ReNiW2
1.0
3.206 0.000 0.000
0.000 3.206 0.000
0.000 0.000 5.707
Re Ni W
1 1 2
direct
0.000 0.000 0.000
0.500 0.500 0.756
0.000 0.000 0.543
0.500 0.500 0.259
```

=====

[2]
Diffraction record for NaZn4In8. The powder diffraction line list is computed, not measured: it uses the PBE geometry in Alexandria and a wavelength of 1.5418 Å.
Neutral-atom scattering factors, no anomalous dispersion.

Main lines, sorted by position (2θ from 15° to 90°):
2θ (°)  I_rel
18.5  24
30.0  42
33.3  45
34.4  100
37.4  50
37.5  34
38.4  56
41.2  66
60.2  22
62.3  28

Structural model:
```
NaZn4In8
1.0
-5.379 5.379 2.677
5.379 -5.379 2.677
5.379 5.379 -2.677
Na Zn In
1 4 8
direct
0.000 0.000 0.000
0.000 0.000 0.500
0.000 0.500 0.000
0.500 0.000 0.000
0.500 0.500 0.500
0.000 0.350 0.350
0.000 0.650 0.650
0.293 0.500 0.793
0.350 0.000 0.350
0.500 0.293 0.793
0.500 0.707 0.207
0.650 0.000 0.650
0.707 0.500 0.207
```

=====

[3]
Diffraction record for Sm3TmHg2. The powder diffraction line list is computed, not measured: it uses the PBE geometry in Alexandria and a wavelength of 1.5418 Å.
Neutral-atom scattering factors, no anomalous dispersion.

Main lines, sorted by position (2θ from 15° to 90°):
2θ (°)  I_rel
28.5  23
30.7  23
31.8  33
32.2  100
33.2  92
34.3  59
42.3  19
47.5  22
60.1  17
60.8  18

Structural model:
```
Sm3TmHg2
1.0
5.226 0.000 0.000
0.000 9.435 0.000
0.000 0.000 7.013
Sm Tm Hg
6 2 4
direct
0.000 0.051 0.000
0.000 0.330 0.334
0.000 0.670 0.834
0.000 0.949 0.500
0.500 0.177 0.690
0.500 0.823 0.190
0.500 0.448 0.027
0.500 0.552 0.527
0.000 0.350 0.784
0.000 0.650 0.284
0.500 0.153 0.244
0.500 0.847 0.744
```